1.
Diffraction record for Ca3CdP. The powder diffraction line list is computed, not measured: it uses a structure optimized by DFT (GGA-PBE) and Cu Kα.
Lines closer than 0.1° are merged.

Atomic structure:
```
data_Ca3CdP
_cell_length_a 4.064
_cell_length_b 4.064
_cell_length_c 9.183
_cell_angle_alpha 90.00
_cell_angle_beta 90.00
_cell_angle_gamma 90.00
_symmetry_space_group_name_H-M 'P 4/m m m'
_symmetry_Int_Tables_number 123
_symmetry_space_group_name_Hall '-P 4 2'
loop_
_atom_site_label
_atom_site_fract_x
_atom_site_fract_y
_atom_site_fract_z
Ca1 0.000 0.000 0.000
Ca2 0.500 0.500 0.302
Cd1 0.000 0.000 0.500
P1 0.500 0.500 0.000
```

The 10 most intense peaks (10° ≤ 2θ ≤ 90°), in order of falling intensity:
two_theta  I/Imax
29.35  100
31.12  85
36.76  43
54.28  32
44.59  30
19.33  27
23.94  26
50.91  23
36.90  21
59.11  20

---

2.
Diffraction record for Ca3CdP2Pd9. The powder diffraction line list is computed, not measured: it uses a structure optimized by DFT (GGA-PBE) and Cu Kα.
Lines closer than 0.1° are merged.

Atomic structure:
```
data_Ca3CdP2Pd9
_cell_length_a 6.0301
_cell_length_b 6.0301
_cell_length_c 10.1115
_cell_angle_alpha 90.00
_cell_angle_beta 90.00
_cell_angle_gamma 120.00
_symmetry_space_group_name_H-M 'P -3 m 1'
_symmetry_Int_Tables_number 164
_symmetry_space_group_name_Hall '-P 3 2"'
loop_
_atom_site_label
_atom_site_fract_x
_atom_site_fract_y
_atom_site_fract_z
Ca1 0.0000 0.0000 0.0000
Ca2 0.3333 0.6667 0.7118
Cd1 0.0000 0.0000 0.5000
P1 0.3333 0.6667 0.1546
Pd1 0.0000 0.5000 0.0000
Pd2 0.1517 0.3034 0.2751
```

The 10 most intense peaks (10° ≤ 2θ ≤ 90°), in order of falling intensity:
two_theta  I/Imax
38.82  100
35.51  99
19.13  51
43.86  30
73.08  25
61.51  24
57.65  19
26.44  19
65.97  18
75.16  15

---

3.
Diffraction record for CaCd2Pb. The powder diffraction line list is computed, not measured: it uses a structure optimized by DFT (GGA-PBE) and Cu Kα.
Lines closer than 0.1° are merged.

Atomic structure:
```
data_CaCd2Pb
_cell_length_a 4.666
_cell_length_b 4.666
_cell_length_c 9.801
_cell_angle_alpha 90.00
_cell_angle_beta 90.00
_cell_angle_gamma 90.00
_symmetry_space_group_name_H-M 'I 4/m m m'
_symmetry_Int_Tables_number 139
_symmetry_space_group_name_Hall '-I 4 2'
loop_
_atom_site_label
_atom_site_fract_x
_atom_site_fract_y
_atom_site_fract_z
Ca1 0.000 0.000 0.000
Cd1 0.000 0.500 0.250
Pb1 0.000 0.000 0.500
```

The 10 most intense peaks (10° ≤ 2θ ≤ 90°), in order of falling intensity:
two_theta  I/Imax
32.72  100
21.09  33
38.59  32
66.14  25
54.29  23
36.68  18
63.55  14
89.51  12
68.58  11
33.48  11

---

4.
Diffraction record for Ca2CdPb5. The powder diffraction line list is computed, not measured: it uses a structure optimized by DFT (GGA-PBE) and Cu Kα.
Lines closer than 0.1° are merged.

Atomic structure:
```
data_Ca2CdPb5
_cell_length_a 7.070
_cell_length_b 13.683
_cell_length_c 4.847
_cell_angle_alpha 90.00
_cell_angle_beta 90.00
_cell_angle_gamma 90.00
_symmetry_space_group_name_H-M 'P b a m'
_symmetry_Int_Tables_number 55
loop_
_symmetry_equiv_pos_as_xyz
'x,y,z'
'-x,-y,-z'
'-x,-y,z'
'x,y,-z'
'x+1/2,-y+1/2,-z'
'-x+1/2,y+1/2,z'
'-x+1/2,y+1/2,-z'
'x+1/2,-y+1/2,z'
loop_
_atom_site_label
_atom_site_fract_x
_atom_site_fract_y
_atom_site_fract_z
Ca1 0.233 0.127 0.000
Cd1 0.000 0.500 0.500
Pb1 0.000 0.000 0.500
Pb2 0.023 0.748 0.500
Pb3 0.228 0.381 0.000
```

The 10 most intense peaks (10° ≤ 2θ ≤ 90°), in order of falling intensity:
two_theta  I/Imax
32.02  100
31.32  93
36.55  61
53.06  42
63.35  37
37.10  31
18.04  24
62.14  22
25.81  21
63.70  14

---

5.
Diffraction record for Ca6Cd5Pb. The powder diffraction line list is computed, not measured: it uses a structure optimized by DFT (GGA-PBE) and Cu Kα.
Lines closer than 0.1° are merged.

Atomic structure:
```
data_Ca6Cd5Pb
_cell_length_a 5.408
_cell_length_b 7.814
_cell_length_c 16.231
_cell_angle_alpha 90.00
_cell_angle_beta 90.00
_cell_angle_gamma 90.00
_symmetry_space_group_name_H-M 'I m m m'
_symmetry_Int_Tables_number 71
_symmetry_space_group_name_Hall '-I 2 2'
loop_
_atom_site_label
_atom_site_fract_x
_atom_site_fract_y
_atom_site_fract_z
Ca1 0.000 0.247 0.000
Ca2 0.000 0.251 0.333
Cd1 0.000 0.000 0.165
Cd2 0.000 0.500 0.169
Cd3 0.000 0.500 0.500
Pb1 0.000 0.000 0.500
```

The 10 most intense peaks (10° ≤ 2θ ≤ 90°), in order of falling intensity:
two_theta  I/Imax
32.77  100
33.12  49
58.94  35
23.26  30
58.26  18
22.77  18
47.55  17
40.57  15
68.68  11
46.49  9

---

6.
Diffraction record for Ca2Cd3Pb. The powder diffraction line list is computed, not measured: it uses a structure optimized by DFT (GGA-PBE) and Cu Kα.
Lines closer than 0.1° are merged.

Atomic structure:
```
data_Ca2Cd3Pb
_cell_length_a 3.864
_cell_length_b 4.903
_cell_length_c 18.624
_cell_angle_alpha 90.00
_cell_angle_beta 90.00
_cell_angle_gamma 90.00
_symmetry_space_group_name_H-M 'I m m 2'
_symmetry_Int_Tables_number 44
loop_
_symmetry_equiv_pos_as_xyz
'x,y,z'
'-x,-y,z'
'-x,y,z'
'x,-y,z'
'x+1/2,y+1/2,z+1/2'
'-x+1/2,-y+1/2,z+1/2'
'-x+1/2,y+1/2,z+1/2'
'x+1/2,-y+1/2,z+1/2'
loop_
_atom_site_label
_atom_site_fract_x
_atom_site_fract_y
_atom_site_fract_z
Ca1 0.000 0.000 0.000
Ca2 0.000 0.500 0.253
Cd1 0.000 0.000 0.427
Cd2 0.000 0.500 0.671
Cd3 0.000 0.500 0.821
Pb1 0.000 0.000 0.585
```

The 10 most intense peaks (10° ≤ 2θ ≤ 90°), in order of falling intensity:
two_theta  I/Imax
30.99  100
18.71  69
23.52  65
41.62  59
38.50  48
30.13  42
36.65  40
33.41  36
44.01  26
62.34  22